Simulated PXRD pattern
Compound: Ac2BiTe2O2
Radiation: Cu Kα, 1.54184 Å
Structure: a PBE-relaxed structure
Lines closer than 0.1° are merged.

Atomic structure:
```
data_Ac2BiTe2O2
_space_group_name_H-M_alt 'P -3 m 1'
_space_group_IT_number 164
_space_group_name_Hall '-P 3 2"'
_cell_length_a 4.1047
_cell_length_b 4.1047
_cell_length_c 14.5083
_cell_angle_alpha 90.00
_cell_angle_beta 90.00
_cell_angle_gamma 120.00
loop_
_atom_site_label
_atom_site_type_symbol
_atom_site_fract_x
_atom_site_fract_y
_atom_site_fract_z
Ac1 Ac 0.3333 0.6667 0.2943
Bi1 Bi 0.0000 0.0000 0.5000
Te1 Te 0.0000 0.0000 0.0903
O1 O 0.3333 0.6667 0.7185
```

Most intense lines, 5 to 70 degrees two-theta, low angle first:
- 14.508 Å, 6.09°, I = 21, (0 0 1)
- 3.453 Å, 25.80°, I = 48, (0 1 1)
- 3.192 Å, 27.95°, I = 100, (1 0 2)
- 2.902 Å, 30.81°, I = 35, (0 0 5)
- 2.864 Å, 31.23°, I = 56, (0 1 3)
- 2.539 Å, 35.35°, I = 19, (1 0 4)
- 2.052 Å, 44.13°, I = 42, (1 1 0)
- 1.791 Å, 51.01°, I = 24, (1 0 7)
- 1.726 Å, 53.05°, I = 17, (0 2 2)
- 1.676 Å, 54.79°, I = 43, (1 1 5)

=====

Simulated PXRD pattern
Compound: AcThBiO2
Radiation: Cu Kα, 1.54184 Å
Structure: a PBE-relaxed structure
Lines closer than 0.1° are merged.

Atomic structure:
```
data_AcThBiO2
_space_group_name_H-M_alt 'I 4 m m'
_space_group_IT_number 107
_space_group_name_Hall 'I 4 -2'
_cell_length_a 4.163
_cell_length_b 4.163
_cell_length_c 13.385
_cell_angle_alpha 90.00
_cell_angle_beta 90.00
_cell_angle_gamma 90.00
loop_
_atom_site_label
_atom_site_type_symbol
_atom_site_fract_x
_atom_site_fract_y
_atom_site_fract_z
Ac1 Ac 0.000 0.000 0.000
Th1 Th 0.000 0.000 0.307
Bi1 Bi 0.000 0.000 0.657
O1 O 0.000 0.500 0.390
```

Most intense lines, 5 to 70 degrees two-theta, low angle first:
- 3.044 Å, 29.34°, I = 100, (1 0 3)
- 2.943 Å, 30.37°, I = 43, (1 1 0)
- 2.252 Å, 40.05°, I = 3, (1 0 5)
- 2.231 Å, 40.43°, I = 9, (0 0 6)
- 2.081 Å, 43.48°, I = 20, (2 0 0)
- 1.778 Å, 51.39°, I = 21, (1 1 6)
- 1.718 Å, 53.32°, I = 39, (2 1 3)
- 1.522 Å, 60.87°, I = 11, (2 0 6)
- 1.472 Å, 63.18°, I = 7, (2 2 0)
- 1.401 Å, 66.80°, I = 7, (1 0 9)